This entry pairs a crystal structure of Ti5Fe11O24 with its calculated powder X-ray diffraction pattern. Radiation: Cu Kα (weighted mean of Kα1 and Kα2). Structure: a PBE+U-relaxed structure.
Kinematic intensities with the Lorentz-polarization factor, no thermal factor.

Atomic structure:
```
data_Ti5Fe11O24
_chemical_formula_sum 'Ti5 Fe11 O24'
_symmetry_space_group_name_H-M 'P 1'
_symmetry_Int_Tables_number 1
_cell_length_a 7.4275
_cell_length_b 7.4784
_cell_length_c 8.7576
_cell_angle_alpha 66.88
_cell_angle_beta 66.99
_cell_angle_gamma 85.44
loop_
_symmetry_equiv_pos_as_xyz
'x,y,z'
loop_
_atom_site_label
_atom_site_type_symbol
_atom_site_fract_x
_atom_site_fract_y
_atom_site_fract_z
Ti1 Ti 0.0000 0.0000 0.0000
Ti2 Ti 0.0598 0.0691 0.3003
Ti3 Ti 0.2506 0.7490 0.5187
Ti4 Ti 0.5037 0.5067 0.0081
Ti5 Ti 0.7431 0.2584 0.5132
Fe1 Fe 0.9997 0.5101 0.0077
Fe2 Fe 0.0595 0.5713 0.3029
Fe3 Fe 0.2451 0.2481 0.5165
Fe4 Fe 0.2991 0.3032 0.8106
Fe5 Fe 0.3008 0.8006 0.8109
Fe6 Fe 0.5028 0.0080 0.0049
Fe7 Fe 0.5486 0.5576 0.3057
Fe8 Fe 0.5601 0.0629 0.3064
Fe9 Fe 0.7436 0.7454 0.5134
Fe10 Fe 0.7949 0.3018 0.8157
Fe11 Fe 0.7991 0.8057 0.8059
O1 O 0.0008 0.8059 0.9140
O2 O 0.0489 0.2454 0.4056
O3 O 0.0600 0.2266 0.7699
O4 O 0.0678 0.2361 0.0693
O5 O 0.2174 0.5822 0.7596
O6 O 0.2358 0.5787 0.0473
O7 O 0.2605 0.5748 0.4069
O8 O 0.3024 0.9955 0.9140
O9 O 0.3158 0.9863 0.2506
O10 O 0.3262 0.9654 0.5688
O11 O 0.4807 0.3521 0.2412
O12 O 0.4896 0.3327 0.5519
O13 O 0.5018 0.3087 0.9163
O14 O 0.5521 0.7399 0.4120
O15 O 0.5663 0.7374 0.0626
O16 O 0.5708 0.7292 0.7550
O17 O 0.7212 0.0891 0.7545
O18 O 0.7314 0.0758 0.0530
O19 O 0.7552 0.0622 0.4246
O20 O 0.8040 0.4981 0.9128
O21 O 0.8197 0.4758 0.5718
O22 O 0.8212 0.4848 0.2512
O23 O 0.9653 0.8552 0.2457
O24 O 0.9927 0.8251 0.5499
```

Main lines, by angle (10 to 80 degrees two-theta):
d (Å)	I (rel.)	(hkl)
3.710	43	0 0 2
2.727	52	0 2 -1
2.719	100	2 2 2
2.530	81	2 -2 0
2.524	40	2 0 3
1.708	34	0 2 -3